Starting from DFT lattice parameters and positions (GGA-PBE), the powder diffraction line list of Ca2HoTe4 was calculated for a wavelength of 1.5418 Å.
Peak positions follow from Bragg's law for the DFT cell and can differ from measured ones.

Main lines, in order of rising 2θ (10 to 80 degrees two-theta):
- 13.36°, rel. 54.6
- 26.44°, rel. 100.0
- 28.21°, rel. 45.3
- 28.51°, rel. 88.0
- 30.32°, rel. 88.5
- 37.01°, rel. 45.8
- 39.14°, rel. 37.4
- 40.86°, rel. 38.7

Atomic structure:
a b c (Å): 4.218 14.732 15.168
angles (deg): 90.00 90.00 90.00
Space group Cmcm (No. 63)
One atom of each set of equivalent atoms:
Ca (0.000, 0.137, 0.073) (multiplicity 8)
Ho (0.000, 0.381, 0.250) (multiplicity 4)
Te (0.000, 0.032, 0.250) (multiplicity 4)
Te (0.000, 0.210, 0.624) (multiplicity 8)
Te (0.000, 0.500, 0.000) (multiplicity 4)